No. 1
Diffraction record for Sr4CaS5. The powder XRD pattern is simulated, not measured: it uses the PBE geometry in Alexandria and Cu Kα.
Intensities are scaled so that the largest is 100.

Structural model:
a b c (Å): 15.2806 15.2806 15.2806
angles (deg): 164.02 164.02 22.67
Element x y z (fractional)
Sr 0.0981 0.0981 0.0000
Sr 0.3009 0.3009 0.0000
Sr 0.6991 0.6991 0.0000
Sr 0.9019 0.9019 0.0000
Ca 0.5000 0.5000 0.0000
S 0.0000 0.0000 0.0000
S 0.1996 0.1996 0.0000
S 0.4032 0.4032 0.0000
S 0.5968 0.5968 0.0000
S 0.8004 0.8004 0.0000

Principal peaks in the range 2θ = 10–90°, sorted by position:
2θ (°), d/Å, intensity
25.7, 3.465, 30
29.8, 3.001, 100
42.6, 2.122, 71
50.4, 1.810, 16
52.8, 1.733, 24
70.1, 1.343, 21
70.2, 1.341, 10
78.0, 1.226, 15

***

No. 2
Diffraction record for K2HgP2Se6. The powder XRD pattern is simulated, not measured: it uses the PBE geometry in Alexandria and Cu Kα.
Intensities are scaled so that the largest is 100.

Structural model:
a b c (Å): 13.2863 7.4188 14.7349
angles (deg): 90.00 110.96 90.00
Element x y z (fractional)
K 0.0899 0.0450 0.3783
K 0.0899 0.4550 0.8783
K 0.4037 0.0517 0.2832
K 0.4037 0.4483 0.7832
K 0.5963 0.5517 0.2168
K 0.5963 0.9483 0.7168
K 0.9101 0.5450 0.1217
K 0.9101 0.9550 0.6217
Hg 0.2578 0.6132 0.5207
Hg 0.2578 0.8868 0.0207
Hg 0.7422 0.1132 0.9793
Hg 0.7422 0.3868 0.4793
P 0.0412 0.0385 0.0818
P 0.0412 0.4615 0.5818
P 0.4815 0.6111 0.4404
P 0.4815 0.8889 0.9404
P 0.5185 0.1111 0.0596
P 0.5185 0.3889 0.5596
P 0.9588 0.5385 0.4182
P 0.9588 0.9615 0.9182
Se 0.0875 0.5131 0.3552
Se 0.0875 0.9869 0.8552
Se 0.1152 0.1970 0.6002
Se 0.1152 0.3030 0.1002
Se 0.1594 0.6849 0.6468
Se 0.1594 0.8151 0.1468
Se 0.3594 0.2184 0.0545
Se 0.3594 0.2816 0.5545
Se 0.3818 0.5068 0.2997
Se 0.3818 0.9932 0.7997
Se 0.4019 0.6662 0.9951
Se 0.4019 0.8338 0.4951
Se 0.5981 0.1662 0.5049
Se 0.5981 0.3338 0.0049
Se 0.6182 0.0068 0.2003
Se 0.6182 0.4932 0.7003
Se 0.6406 0.7184 0.4455
Se 0.6406 0.7816 0.9455
Se 0.8406 0.1849 0.8532
Se 0.8406 0.3151 0.3532
Se 0.8848 0.6970 0.8998
Se 0.8848 0.8030 0.3998
Se 0.9125 0.0131 0.1448
Se 0.9125 0.4869 0.6448

Principal peaks in the range 2θ = 10–90°, sorted by position:
2θ (°), d/Å, intensity
12.9, 6.880, 83
13.6, 6.530, 100
24.7, 3.608, 41
26.5, 3.359, 33
29.3, 3.046, 59
29.4, 3.033, 40
30.9, 2.895, 29
31.9, 2.805, 32

***

No. 3
Diffraction record for Ag2Pd2Cl7. The powder XRD pattern is simulated, not measured: it uses the PBE geometry in Alexandria and Cu Kα.
Intensities are scaled so that the largest is 100.

Structural model:
a b c (Å): 8.9202 8.9202 7.7116
angles (deg): 94.28 94.28 101.51
Element x y z (fractional)
Ag 0.0508 0.6833 0.6456
Ag 0.3167 0.9492 0.8544
Ag 0.6833 0.0508 0.1456
Ag 0.9492 0.3167 0.3544
Pd 0.2458 0.3999 0.7450
Pd 0.3999 0.2458 0.2450
Pd 0.6001 0.7542 0.7550
Pd 0.7542 0.6001 0.2550
Cl 0.0164 0.6911 0.3260
Cl 0.1623 0.2861 0.1445
Cl 0.1996 0.6155 0.9062
Cl 0.2861 0.1623 0.6445
Cl 0.3089 0.9836 0.1740
Cl 0.3845 0.8004 0.5938
Cl 0.4889 0.5111 0.2500
Cl 0.5111 0.4889 0.7500
Cl 0.6155 0.1996 0.4062
Cl 0.6911 0.0164 0.8260
Cl 0.7139 0.8377 0.3555
Cl 0.8004 0.3845 0.0938
Cl 0.8377 0.7139 0.8555
Cl 0.9836 0.3089 0.6740

Principal peaks in the range 2θ = 10–90°, sorted by position:
2θ (°), d/Å, intensity
14.7, 6.030, 100
15.8, 5.604, 28
20.9, 4.260, 32
22.6, 3.942, 35
23.2, 3.829, 42
30.7, 2.913, 28
33.3, 2.689, 34
40.6, 2.220, 26

***

No. 4
Diffraction record for Rb4U3S10. The powder XRD pattern is simulated, not measured: it uses the PBE geometry in Alexandria and Cu Kα.
Intensities are scaled so that the largest is 100.

Structural model:
a b c (Å): 19.1137 19.1137 19.1137
angles (deg): 164.31 164.31 22.27
Element x y z (fractional)
Rb 0.0691 0.0691 0.0000
Rb 0.2034 0.2034 0.0000
Rb 0.7966 0.7966 0.0000
Rb 0.9309 0.9309 0.0000
U 0.3604 0.3604 0.0000
U 0.5000 0.5000 0.0000
U 0.6396 0.6396 0.0000
S 0.0000 0.5000 0.5000
S 0.1376 0.6376 0.5000
S 0.2950 0.2950 0.0000
S 0.3624 0.8624 0.5000
S 0.4307 0.4307 0.0000
S 0.5000 0.0000 0.5000
S 0.5693 0.5693 0.0000
S 0.6376 0.1376 0.5000
S 0.7050 0.7050 0.0000
S 0.8624 0.3624 0.5000

Principal peaks in the range 2θ = 10–90°, sorted by position:
2θ (°), d/Å, intensity
17.2, 5.169, 43
23.8, 3.739, 100
24.1, 3.691, 59
33.4, 2.679, 21
34.4, 2.610, 49
41.7, 2.168, 23
42.2, 2.140, 46
48.7, 1.869, 29